Structure and theoretical X-ray diffraction stick pattern of Nd6CoRu2Br3 (DFT lattice parameters and positions (PBE); Cu Kα (λ = 1.5418 Å)).
Lines closer than 0.1° are merged.

Largest 10 diffraction maxima, by angle, 5° ≤ 2θ ≤ 70°:
- d 7.892, 2θ 11.21, intensity 18
- d 3.360, 2θ 26.53, intensity 8
- d 3.015, 2θ 29.63, intensity 100
- d 2.817, 2θ 31.77, intensity 9
- d 2.433, 2θ 36.94, intensity 13
- d 2.261, 2θ 39.87, intensity 29
- d 2.023, 2θ 44.80, intensity 36
- d 1.834, 2θ 49.72, intensity 10
- d 1.680, 2θ 54.63, intensity 18
- d 1.604, 2θ 57.47, intensity 9

Structural model:
```
Nd6CoRu2Br3
1.0
3.506 -6.066 0.000
3.506 6.066 0.000
-2.336 0.000 7.892
Nd Co Ru Br
6 1 2 3
Direct
0.065 0.394 0.196
0.262 0.262 0.803
0.394 0.065 0.196
0.606 0.935 0.804
0.738 0.738 0.197
0.935 0.606 0.804
0.000 0.000 0.000
0.334 0.666 0.000
0.666 0.334 0.000
0.168 0.832 0.500
0.500 0.500 0.500
0.832 0.168 0.500
```